Record 1
Sm2Y2BCl5: calculated PXRD pattern (Cu Kα), based on a cell relaxed with PBE.

Cell and atoms:
```
data_Sm2Y2BCl5
_space_group_name_H-M_alt 'C 1 2/m 1'
_space_group_IT_number 12
_cell_length_a 17.346
_cell_length_b 3.879
_cell_length_c 8.071
_cell_angle_alpha 90.00
_cell_angle_beta 103.36
_cell_angle_gamma 90.00
loop_
_space_group_symop_operation_xyz
'x,y,z'
'-x,-y,-z'
'-x,y,-z'
'x,-y,z'
'x+1/2,y+1/2,z'
'-x+1/2,-y+1/2,-z'
'-x+1/2,y+1/2,-z'
'x+1/2,-y+1/2,z'
loop_
_atom_site_label
_atom_site_type_symbol
_atom_site_fract_x
_atom_site_fract_y
_atom_site_fract_z
Sm1 Sm 0.001 0.000 0.281
Y1 Y 0.147 0.500 0.583
B1 B 0.000 0.500 0.500
Cl1 Cl 0.000 0.500 0.000
Cl2 Cl 0.167 0.000 0.827
Cl3 Cl 0.174 0.000 0.354
```

Largest 6 diffraction maxima, by angle, 2θ from 10° to 90°:
hkl  2theta  I_rel
2 0 0  10.48  72
0 0 1  11.27  56
3 1 0  27.94  26
6 0 0  31.81  47
1 1 -2  32.01  100
5 1 2  45.75  60

***

Record 2
Al28Co: calculated PXRD pattern (Cu Kα), based on a cell relaxed with PBE.

Cell and atoms:
```
data_Al28Co
_space_group_name_H-M_alt 'I -4 3 m'
_space_group_IT_number 217
_space_group_name_Hall 'I -4 2 3'
_cell_length_a 9.905
_cell_length_b 9.905
_cell_length_c 9.905
_cell_angle_alpha 90.00
_cell_angle_beta 90.00
_cell_angle_gamma 90.00
loop_
_atom_site_label
_atom_site_type_symbol
_atom_site_fract_x
_atom_site_fract_y
_atom_site_fract_z
Al1 Al 0.053 0.361 0.639
Al2 Al 0.094 0.094 0.715
Al3 Al 0.157 0.157 0.157
Co1 Co 0.000 0.000 0.000
```

Largest 6 diffraction maxima, by angle, 2θ from 10° to 90°:
hkl  2theta  I_rel
4 1 1  38.56  100
3 3 2  42.82  33
4 2 2  44.83  14
4 3 1  46.76  19
5 5 0  66.78  14
7 2 1  69.77  20

***

Record 3
La2Zr2O7: calculated PXRD pattern (Cu Kα), based on a cell relaxed with PBE.

Cell and atoms:
abc: 10.796 10.796 10.796
angles: 90.00 90.00 90.00
Space group Fd-3m (No. 227, origin choice 2)
Symmetry-distinct sites (fractional):
La  0.000  0.000  0.000
Zr  0.000  0.000  0.500
O  0.084  0.375  0.875
O  0.125  0.125  0.125

Largest 6 diffraction maxima, by angle, 2θ from 10° to 90°:
hkl  2theta  I_rel
2 2 2  28.64  100
4 0 0  33.19  31
4 4 0  47.65  49
6 2 2  56.55  43
6 6 2  77.00  17
8 4 4  88.80  14

***

Record 4
Tm3NiGe5: calculated PXRD pattern (Cu Kα), based on a cell relaxed with PBE.

Cell and atoms:
```
data_Tm3NiGe5
_space_group_name_H-M_alt 'P -6 2 m'
_space_group_IT_number 189
_space_group_name_Hall 'P -6 -2'
_cell_length_a 7.0507
_cell_length_b 7.0507
_cell_length_c 4.0199
_cell_angle_alpha 90.00
_cell_angle_beta 90.00
_cell_angle_gamma 120.00
loop_
_atom_site_label
_atom_site_type_symbol
_atom_site_fract_x
_atom_site_fract_y
_atom_site_fract_z
Tm1 Tm 0.0000 0.6078 0.0000
Ni1 Ni 0.0000 0.0000 0.0000
Ge1 Ge 0.0000 0.2332 0.5000
Ge2 Ge 0.3333 0.6667 0.5000
```

Largest 6 diffraction maxima, by angle, 2θ from 10° to 90°:
hkl  2theta  I_rel
1 1 0  25.26  20
1 1 1  33.82  100
2 0 1  36.97  50
2 1 0  39.03  32
3 0 0  44.51  23
0 0 2  45.11  21

***

Record 5
NaAg2: calculated PXRD pattern (Cu Kα), based on a cell relaxed with PBE.

Cell and atoms:
abc: 7.907 7.907 7.907
angles: 90.00 90.00 90.00
Space group Fd-3m (No. 227, origin choice 2)
Symmetry-distinct sites (fractional):
Na  0.125  0.125  0.125
Ag  0.000  0.000  0.500

Largest 6 diffraction maxima, by angle, 2θ from 10° to 90°:
hkl  2theta  I_rel
1 1 1  19.44  97
3 1 1  37.73  100
2 2 2  39.48  88
4 0 0  45.91  33
5 1 1  60.88  30
4 4 0  66.94  31

***

Record 6
Y3Mg3TlCuIr: calculated PXRD pattern (Cu Kα), based on a cell relaxed with PBE.

Cell and atoms:
```
data_Y3Mg3TlCuIr
_space_group_name_H-M_alt 'P -6'
_space_group_IT_number 174
_cell_length_a 7.8061
_cell_length_b 7.8061
_cell_length_c 3.8806
_cell_angle_alpha 90.00
_cell_angle_beta 90.00
_cell_angle_gamma 120.00
loop_
_space_group_symop_operation_xyz
'x,y,z'
'-x+y,-x,-z'
'-y,x-y,z'
'x,y,-z'
'-x+y,-x,z'
'-y,x-y,-z'
loop_
_atom_site_label
_atom_site_type_symbol
_atom_site_fract_x
_atom_site_fract_y
_atom_site_fract_z
Y1 Y 0.0355 0.6078 0.0000
Mg1 Mg 0.0001 0.2423 0.5000
Tl1 Tl 0.6667 0.3333 0.5000
Cu1 Cu 0.0000 0.0000 0.0000
Ir1 Ir 0.3333 0.6667 0.5000
```

Largest 6 diffraction maxima, by angle, 2θ from 10° to 90°:
hkl  2theta  I_rel
1 0 0  13.10  51
1 1 0  22.78  68
1 1 1  32.54  97
2 0 1  35.19  100
3 0 0  40.01  42
2 1 1  42.35  38